(1)
The following is a computed XRD peak list of LaCo2SiP. It was derived from a cell relaxed with PBE, using CuKα.
Neutral-atom scattering factors, no anomalous dispersion.

Structural model:
a = 5.687 Å, b = 5.687 Å, c = 5.687 Å
α = 139.06°, β = 139.06°, γ = 59.28°
Element x y z (fractional)
La 0.000 0.000 0.000
Co 0.245 0.745 0.500
Co 0.745 0.245 0.500
Si 0.360 0.360 0.000
P 0.635 0.635 0.000

The 10 most intense peaks (2θ from 10° to 90°), by angle:
24.12 deg, d 3.690, I = 43.9; 35.37 deg, d 2.537, I = 61.6; 36.35 deg, d 2.471, I = 17.1; 36.77 deg, d 2.444, I = 100.0; 45.62 deg, d 1.989, I = 43.0; 51.63 deg, d 1.770, I = 14.9; 59.01 deg, d 1.565, I = 27.3; 59.68 deg, d 1.549, I = 15.5; 65.68 deg, d 1.422, I = 22.3; 78.47 deg, d 1.219, I = 20.1

---

(2)
The following is a computed XRD peak list of Rb2Nb2Pd3. It was derived from a cell relaxed with PBE, using CuKα.
Neutral-atom scattering factors, no anomalous dispersion.

Structural model:
a = 11.150 Å, b = 11.150 Å, c = 11.150 Å
α = 23.62°, β = 23.62°, γ = 23.62°
Element x y z (fractional)
Rb 0.000 0.000 0.000
Rb 0.419 0.419 0.419
Nb 0.192 0.192 0.192
Nb 0.585 0.585 0.585
Pd 0.271 0.271 0.271
Pd 0.506 0.506 0.506
Pd 0.869 0.869 0.869

The 10 most intense peaks (2θ from 10° to 90°), by angle:
22.66 deg, d 3.923, I = 17.3; 26.39 deg, d 3.377, I = 17.6; 29.68 deg, d 3.010, I = 34.7; 33.07 deg, d 2.709, I = 18.0; 35.77 deg, d 2.510, I = 36.2; 39.49 deg, d 2.282, I = 100.0; 40.40 deg, d 2.233, I = 30.4; 42.80 deg, d 2.113, I = 27.1; 52.43 deg, d 1.745, I = 28.4; 71.63 deg, d 1.317, I = 16.7